# Li9Mn2Co5O16
Calculated powder diffraction line list, Cu Kα (weighted mean of Kα1 and Kα2). Input: DFT lattice parameters and positions (PBE+U).
Lines closer than 0.1° are merged.

Main lines, by intensity (2θ = 10–80°):
d/Å	intensity
4.845	100
2.097	29
2.085	28
2.058	26
1.478	15
2.516	14
2.507	14
2.474	12
1.913	9
2.400	8

Crystal structure
Lattice parameters (Å, degrees): 5.1340 5.9075 10.0629 90.14 99.93 106.39
Atoms (fractional coordinates):
Li 0.0000 0.0000 0.0000
Li 0.4922 0.8812 0.1216
Li 0.4956 0.8708 0.6276
Li 0.4972 0.3696 0.1231
Li 0.4988 0.3748 0.6278
Li 0.5012 0.6252 0.3722
Li 0.5028 0.6304 0.8769
Li 0.5044 0.1292 0.3724
Li 0.5078 0.1188 0.8784
Mn 0.0000 0.5000 0.0000
Mn 0.0000 0.5000 0.5000
Co 0.0000 0.0000 0.5000
Co 0.0040 0.2433 0.7564
Co 0.0056 0.2462 0.2446
Co 0.9944 0.7538 0.7554
Co 0.9960 0.7567 0.2436
O 0.2201 0.3213 0.9304
O 0.2198 0.5584 0.6782
O 0.2215 0.7907 0.4351
O 0.2245 0.3200 0.4403
O 0.2266 0.7870 0.9363
O 0.2309 0.0554 0.6800
O 0.2317 0.5594 0.1774
O 0.2345 0.0667 0.1976
O 0.7655 0.9333 0.8024
O 0.7683 0.4406 0.8226
O 0.7691 0.9446 0.3200
O 0.7734 0.2130 0.0637
O 0.7755 0.6800 0.5597
O 0.7785 0.2093 0.5649
O 0.7802 0.4416 0.3218
O 0.7799 0.6787 0.0696


# KSrCaMnO6
Calculated powder diffraction line list, Cu Kα (weighted mean of Kα1 and Kα2). Input: DFT lattice parameters and positions (PBE+U).
Lines closer than 0.1° are merged.

Main lines, by intensity (2θ = 10–80°):
d/Å	intensity
2.941	100
2.080	46
1.698	36
1.471	25
4.803	17
1.315	17
2.401	15
2.508	8
1.201	8
1.601	4

Crystal structure
Lattice parameters (Å, degrees): 5.8822 5.8822 5.8822 60.00 60.00 60.00
Atoms (fractional coordinates):
K 0.0000 0.0000 0.0000
Sr 0.5000 0.5000 0.5000
Ca 0.2500 0.2500 0.2500
Mn 0.7500 0.7500 0.7500
O 0.5230 0.5230 0.9770
O 0.5230 0.9770 0.5230
O 0.5230 0.9770 0.9770
O 0.9770 0.5230 0.5230
O 0.9770 0.5230 0.9770
O 0.9770 0.9770 0.5230


# RbMoIO6
Calculated powder diffraction line list, Cu Kα (weighted mean of Kα1 and Kα2). Input: DFT lattice parameters and positions (PBE+U).
Lines closer than 0.1° are merged.

Main lines, by intensity (2θ = 10–80°):
d/Å	intensity
3.299	100
3.219	85
3.139	70
3.163	61
3.758	57
6.096	45
1.882	43
3.048	40
6.278	32
3.188	29

Crystal structure
Lattice parameters (Å, degrees): 7.8469 10.4651 7.4992 90.00 90.00 90.00
Atoms (fractional coordinates):
Rb 0.0185 0.1184 0.0000
Rb 0.4815 0.6184 0.5000
Rb 0.5185 0.3816 0.0000
Rb 0.9815 0.8816 0.5000
Mo 0.0078 0.4713 0.2316
Mo 0.4922 0.9713 0.7316
Mo 0.5078 0.0287 0.2316
Mo 0.9922 0.5287 0.7316
I 0.2214 0.7409 0.0679
I 0.2786 0.2409 0.5679
I 0.7214 0.7591 0.0679
I 0.7786 0.2591 0.5679
O 0.0623 0.5194 0.9756
O 0.0719 0.1571 0.5593
O 0.1316 0.6513 0.6689
O 0.1371 0.6595 0.2707
O 0.2015 0.3909 0.2672
O 0.2212 0.3898 0.6846
O 0.2788 0.8898 0.1846
O 0.2985 0.8909 0.7672
O 0.3629 0.1595 0.7707
O 0.3684 0.1513 0.1689
O 0.4281 0.6571 0.0593
O 0.4377 0.0194 0.4756
O 0.5623 0.9806 0.9756
O 0.5719 0.3429 0.5593
O 0.6316 0.8487 0.6689
O 0.6371 0.8405 0.2707
O 0.7015 0.1091 0.2672
O 0.7212 0.1102 0.6846
O 0.7788 0.6102 0.1846
O 0.7985 0.6091 0.7672
O 0.8629 0.3405 0.7707
O 0.8684 0.3487 0.1689
O 0.9281 0.8429 0.0593
O 0.9377 0.4806 0.4756


# Li2NiP4O12
Calculated powder diffraction line list, Cu Kα (weighted mean of Kα1 and Kα2). Input: DFT lattice parameters and positions (PBE+U).
Lines closer than 0.1° are merged.

Main lines, by intensity (2θ = 10–80°):
d/Å	intensity
5.635	100
2.817	28
4.689	28
3.218	28
3.270	27
2.140	12
2.367	12
3.581	11
1.952	10
2.858	10

Crystal structure
Lattice parameters (Å, degrees): 6.5426 6.5426 7.1729 116.25 116.25 91.56
Atoms (fractional coordinates):
Li 0.0000 0.0000 0.0000
Li 0.7008 0.2992 0.0000
Ni 0.5419 0.4581 0.5000
P 0.1333 0.5208 0.6344
P 0.1963 0.3917 0.9945
P 0.4792 0.8667 0.3656
P 0.6083 0.8037 0.0055
O 0.1924 0.4316 0.4381
O 0.1982 0.3566 0.7577
O 0.2211 0.6734 0.1431
O 0.3266 0.7789 0.8569
O 0.4203 0.3384 0.1322
O 0.4449 0.1054 0.4121
O 0.5684 0.8076 0.5619
O 0.6434 0.8018 0.2423
O 0.6616 0.5797 0.8678
O 0.7495 0.0361 0.0785
O 0.8946 0.5551 0.5879
O 0.9639 0.2505 0.9215


# LiVP2HO7
Calculated powder diffraction line list, Cu Kα (weighted mean of Kα1 and Kα2). Input: DFT lattice parameters and positions (PBE+U).
Lines closer than 0.1° are merged.

Main lines, by intensity (2θ = 10–80°):
d/Å	intensity
5.455	100
3.253	88
2.909	84
3.105	76
2.849	58
6.499	55
3.042	42
4.735	35
3.129	27
2.894	25

Crystal structure
Lattice parameters (Å, degrees): 6.5423 6.6128 6.6587 68.90 89.06 83.59
Atoms (fractional coordinates):
Li 0.1197 0.2383 0.1494
Li 0.8803 0.7617 0.8506
V 0.3507 0.4020 0.7176
V 0.6493 0.5980 0.2824
P 0.1548 0.7266 0.2339
P 0.3903 0.8613 0.8201
P 0.6097 0.1387 0.1799
P 0.8452 0.2734 0.7661
H 0.1723 0.8435 0.5022
H 0.8277 0.1565 0.4978
O 0.0300 0.3661 0.8222
O 0.0946 0.8946 0.3507
O 0.2377 0.8827 0.0138
O 0.2717 0.7333 0.7150
O 0.3245 0.5526 0.3625
O 0.4020 0.0948 0.6776
O 0.4089 0.2683 0.0667
O 0.5911 0.7317 0.9333
O 0.5980 0.9052 0.3224
O 0.6755 0.4474 0.6375
O 0.7283 0.2667 0.2850
O 0.7623 0.1173 0.9862
O 0.9054 0.1054 0.6493
O 0.9700 0.6339 0.1778


# MgFe6O10F2
Calculated powder diffraction line list, Cu Kα (weighted mean of Kα1 and Kα2). Input: DFT lattice parameters and positions (PBE+U).
Lines closer than 0.1° are merged.

Main lines, by intensity (2θ = 10–80°):
d/Å	intensity
3.926	100
2.519	93
3.262	87
1.699	30
1.455	30
2.338	29
1.862	23
2.172	22
1.703	20
2.920	17

Crystal structure
Lattice parameters (Å, degrees): 5.0851 5.1239 8.7364 90.01 90.04 100.54
Atoms (fractional coordinates):
Mg 0.0000 0.0000 0.0000
Fe 0.0909 0.4996 0.1754
Fe 0.0944 0.4980 0.8138
Fe 0.5167 0.0976 0.0013
Fe 0.5239 0.0588 0.6591
Fe 0.5319 0.0493 0.3251
Fe 0.9446 0.6330 0.4943
O 0.2134 0.7501 0.3323
O 0.2200 0.7464 0.6595
O 0.2283 0.7313 0.9905
O 0.2966 0.2133 0.1576
O 0.3158 0.2119 0.8327
O 0.6972 0.9200 0.1480
O 0.7030 0.8908 0.4971
O 0.8147 0.3831 0.3278
O 0.8226 0.3773 0.6633
O 0.8623 0.3500 0.9871
F 0.3497 0.2229 0.4934
F 0.7197 0.8993 0.8330


# CrCdO4
Calculated powder diffraction line list, Cu Kα (weighted mean of Kα1 and Kα2). Input: DFT lattice parameters and positions (PBE+U).
Lines closer than 0.1° are merged.

Main lines, by intensity (2θ = 10–80°):
d/Å	intensity
3.575	100
3.524	24
7.150	21
2.383	20
3.001	19
3.350	17
2.704	15
2.350	13
1.858	12
1.782	12

Crystal structure
Lattice parameters (Å, degrees): 7.2377 7.2377 7.1952 98.44 98.44 85.98
Atoms (fractional coordinates):
Cr 0.2263 0.2263 0.5821
Cr 0.2443 0.7557 0.0000
Cr 0.7557 0.2443 0.0000
Cr 0.7737 0.7737 0.4179
Cd 0.2893 0.2893 0.1251
Cd 0.3128 0.6872 0.5000
Cd 0.6872 0.3128 0.5000
Cd 0.7107 0.7107 0.8749
O 0.0039 0.2790 0.5216
O 0.0280 0.7262 0.9013
O 0.2738 0.9720 0.0987
O 0.2790 0.0039 0.5216
O 0.2843 0.2843 0.8110
O 0.2958 0.6149 0.1717
O 0.3541 0.3541 0.4605
O 0.3851 0.7042 0.8283
O 0.6149 0.2958 0.1717
O 0.6459 0.6459 0.5395
O 0.7042 0.3851 0.8283
O 0.7157 0.7157 0.1890
O 0.7210 0.9961 0.4784
O 0.7262 0.0280 0.9013
O 0.9720 0.2738 0.0987
O 0.9961 0.7210 0.4784